Theoretical X-ray powder pattern of Nd3NiHg for Cu Kα X-rays, from DFT lattice parameters and positions (GGA-PBE).
Lines closer than 0.1° are merged.

Crystal structure
a b c (Å): 6.5418 6.5418 9.7013
angles (deg): 113.59 113.59 47.92
Element x y z (fractional)
Nd 0.1243 0.1243 0.2787
Nd 0.1501 0.1501 0.6659
Nd 0.3763 0.3763 0.0702
Nd 0.6237 0.6237 0.9298
Nd 0.8499 0.8499 0.3341
Nd 0.8757 0.8757 0.7213
Ni 0.1045 0.1045 0.9785
Ni 0.8955 0.8955 0.0215
Hg 0.4109 0.4109 0.5679
Hg 0.5891 0.5891 0.4321

Top 6 peaks for 2θ = 10–90°, by angle:
2theta, d_spacing, Rel. int.
29.6, 3.017, 87
30.4, 2.944, 100
33.3, 2.687, 59
33.7, 2.656, 81
34.5, 2.603, 49
48.2, 1.889, 44